Starting from a GGA+U-relaxed structure, the powder diffractogram of Er2MgTl2W4O16 was computed for Cu Kα, 1.54184 Å.

Atomic structure:
abc: 7.4744 7.4794 7.8643
angles: 115.98 90.18 116.58
Fractional coordinates of all 25 atoms:
Er 0.0000 0.0000 0.0000
Er 0.4906 0.4818 0.4105
Mg 0.6548 0.8547 0.1769
Tl 0.4868 0.0110 0.4766
Tl 0.9565 0.4968 0.0204
W 0.0206 0.0337 0.5297
W 0.0408 0.5295 0.5064
W 0.4210 0.9279 0.9106
W 0.4346 0.4162 0.8800
O 0.1045 0.7655 0.7931
O 0.1086 0.7889 0.4565
O 0.1220 0.3759 0.2879
O 0.1405 0.1970 0.8396
O 0.3298 0.2632 0.5713
O 0.3443 0.0984 0.1249
O 0.3636 0.6828 0.9731
O 0.3717 0.7038 0.6321
O 0.5010 0.1599 0.8260
O 0.5147 0.5450 0.1652
O 0.6929 0.6309 0.8803
O 0.6994 0.0362 0.0182
O 0.7651 0.4273 0.4291
O 0.7740 0.8469 0.5599
O 0.9456 0.9396 0.2517
O 0.9788 0.3048 0.5881

Peak list (8 most intense, 2θ = 10–80°, by angle)
26.02°, d 3.425, I 90; 27.55°, d 3.238, I 100; 28.88°, d 3.092, I 96; 29.26°, d 3.052, I 97; 30.69°, d 2.913, I 67; 33.03°, d 2.712, I 48; 33.39°, d 2.684, I 64; 46.43°, d 1.956, I 34